Entry 1:
Structure and computed XRD peak list of BaTmHgAs2 (a DFT-relaxed cell (GGA-PBE, OQMD); Cu Kα).
Intensities are scaled so that the largest is 100.

Structure:
Cell: 9.346 9.346 7.279 Å, 90.00 90.00 153.82°
Fractional positions:
Ba: 0.194 0.806 0.500
Ba: 0.806 0.194 0.000
Tm: 0.023 0.977 0.170
Tm: 0.977 0.023 0.670
Hg: 0.389 0.611 0.343
Hg: 0.611 0.389 0.843
As: 0.169 0.831 0.038
As: 0.460 0.540 0.946
As: 0.540 0.460 0.446
As: 0.831 0.169 0.538

Main lines, in order of rising 2θ (10° ≤ 2θ ≤ 80°):
- 24.82 deg, I = 49
- 28.48 deg, I = 46
- 31.96 deg, I = 57
- 32.43 deg, I = 91
- 32.82 deg, I = 100
- 35.74 deg, I = 82
- 42.69 deg, I = 63
- 54.31 deg, I = 38


Entry 2:
Structure and computed XRD peak list of Ba2LiAs2Pd (a DFT-relaxed cell (GGA-PBE, OQMD); Cu Kα).
Intensities are scaled so that the largest is 100.

Structure:
Cell: 4.474 4.474 9.315 Å, 90.00 90.00 120.00°
Fractional positions:
Ba: 0.000 0.000 0.247
Ba: 0.000 0.000 0.753
Li: 0.667 0.333 0.000
As: 0.333 0.667 0.000
As: 0.667 0.333 0.500
Pd: 0.333 0.667 0.500

Main lines, in order of rising 2θ (10° ≤ 2θ ≤ 80°):
- 22.95 deg, I = 14
- 30.00 deg, I = 100
- 38.66 deg, I = 14
- 40.32 deg, I = 38
- 51.06 deg, I = 22
- 57.09 deg, I = 27
- 64.68 deg, I = 11
- 66.98 deg, I = 20


Entry 3:
Structure and computed XRD peak list of BaNb2As2O11 (a DFT-relaxed cell (GGA-PBE, OQMD); Cu Kα).
Intensities are scaled so that the largest is 100.

Structure:
Cell: 10.010 10.010 10.010 Å, 31.91 31.91 31.91°
Fractional positions:
Ba: 0.000 0.000 0.000
Nb: 0.130 0.130 0.130
Nb: 0.870 0.870 0.870
As: 0.395 0.395 0.395
As: 0.605 0.605 0.605
O: 0.000 0.000 0.500
O: 0.000 0.500 0.000
O: 0.247 0.247 0.753
O: 0.247 0.753 0.247
O: 0.247 0.753 0.753
O: 0.336 0.336 0.336
O: 0.500 0.000 0.000
O: 0.664 0.664 0.664
O: 0.753 0.247 0.247
O: 0.753 0.247 0.753
O: 0.753 0.753 0.247

Main lines, in order of rising 2θ (10° ≤ 2θ ≤ 80°):
- 18.88 deg, I = 37
- 19.64 deg, I = 42
- 22.45 deg, I = 90
- 28.86 deg, I = 57
- 31.37 deg, I = 59
- 32.54 deg, I = 100
- 45.82 deg, I = 50
- 59.12 deg, I = 39


Entry 4:
Structure and computed XRD peak list of BaNbAsO (a DFT-relaxed cell (GGA-PBE, OQMD); Cu Kα).
Intensities are scaled so that the largest is 100.

Structure:
Cell: 4.398 7.324 6.521 Å, 90.00 90.00 90.00°
Fractional positions:
Ba: 0.000 0.212 0.000
Ba: 0.000 0.788 0.500
Nb: 0.500 0.401 0.575
Nb: 0.500 0.599 0.075
As: 0.000 0.239 0.497
As: 0.000 0.761 0.997
O: 0.500 0.384 0.883
O: 0.500 0.616 0.383

Main lines, in order of rising 2θ (10° ≤ 2θ ≤ 80°):
- 23.60 deg, I = 42
- 24.31 deg, I = 31
- 27.34 deg, I = 100
- 27.95 deg, I = 28
- 31.80 deg, I = 61
- 36.91 deg, I = 27
- 41.04 deg, I = 30
- 42.42 deg, I = 59


Entry 5:
Structure and computed XRD peak list of Ba3NbAs3O (a DFT-relaxed cell (GGA-PBE, OQMD); Cu Kα).
Intensities are scaled so that the largest is 100.

Structure:
Cell: 6.799 11.213 13.611 Å, 90.00 90.00 90.00°
Fractional positions:
Ba: 0.221 0.250 0.126
Ba: 0.242 0.545 0.368
Ba: 0.242 0.955 0.368
Ba: 0.258 0.045 0.868
Ba: 0.258 0.455 0.868
Ba: 0.279 0.750 0.626
Ba: 0.721 0.250 0.374
Ba: 0.742 0.545 0.132
Ba: 0.742 0.955 0.132
Ba: 0.758 0.045 0.632
Ba: 0.758 0.455 0.632
Ba: 0.779 0.750 0.874
Nb: 0.161 0.250 0.545
Nb: 0.339 0.750 0.045
Nb: 0.661 0.250 0.955
Nb: 0.839 0.750 0.455
As: 0.223 0.250 0.365
As: 0.235 0.556 0.116
As: 0.235 0.944 0.116
As: 0.265 0.056 0.616
As: 0.265 0.444 0.616
As: 0.277 0.750 0.865
As: 0.723 0.250 0.135
As: 0.735 0.556 0.384
As: 0.735 0.944 0.384
As: 0.765 0.056 0.884
As: 0.765 0.444 0.884
As: 0.777 0.750 0.635
O: 0.119 0.750 0.446
O: 0.381 0.250 0.946
O: 0.619 0.750 0.054
O: 0.881 0.250 0.554

Main lines, in order of rising 2θ (10° ≤ 2θ ≤ 80°):
- 24.38 deg, I = 23
- 24.70 deg, I = 39
- 26.20 deg, I = 100
- 36.33 deg, I = 30
- 37.39 deg, I = 35
- 41.03 deg, I = 37
- 41.76 deg, I = 17
- 49.34 deg, I = 18


Entry 6:
Structure and computed XRD peak list of BaNd2As2 (a DFT-relaxed cell (GGA-PBE, OQMD); Cu Kα).
Intensities are scaled so that the largest is 100.

Structure:
Cell: 4.777 4.777 8.516 Å, 90.00 90.00 120.00°
Fractional positions:
Ba: 0.000 0.000 0.000
Nd: 0.333 0.667 0.633
Nd: 0.667 0.333 0.367
As: 0.333 0.667 0.245
As: 0.667 0.333 0.755

Main lines, in order of rising 2θ (10° ≤ 2θ ≤ 80°):
- 23.91 deg, I = 82
- 30.12 deg, I = 100
- 37.66 deg, I = 78
- 38.46 deg, I = 36
- 48.96 deg, I = 26
- 49.90 deg, I = 25
- 58.62 deg, I = 16
- 63.37 deg, I = 24


Entry 7:
Structure and computed XRD peak list of BaNi9As5 (a DFT-relaxed cell (GGA-PBE, OQMD); Cu Kα).
Intensities are scaled so that the largest is 100.

Structure:
Cell: 6.758 6.758 11.289 Å, 90.00 90.00 120.00°
Fractional positions:
Ba: 0.000 0.000 0.000
Ba: 0.000 0.000 0.500
Ni: 0.071 0.536 0.107
Ni: 0.071 0.536 0.393
Ni: 0.209 0.418 0.750
Ni: 0.209 0.791 0.750
Ni: 0.418 0.209 0.250
Ni: 0.464 0.536 0.107
Ni: 0.464 0.536 0.393
Ni: 0.464 0.929 0.107
Ni: 0.464 0.929 0.393
Ni: 0.536 0.071 0.607
Ni: 0.536 0.071 0.893
Ni: 0.536 0.464 0.607
Ni: 0.536 0.464 0.893
Ni: 0.582 0.791 0.750
Ni: 0.791 0.209 0.250
Ni: 0.791 0.582 0.250
Ni: 0.929 0.464 0.607
Ni: 0.929 0.464 0.893
As: 0.173 0.345 0.250
As: 0.173 0.827 0.250
As: 0.333 0.667 0.561
As: 0.333 0.667 0.939
As: 0.345 0.173 0.750
As: 0.655 0.827 0.250
As: 0.667 0.333 0.061
As: 0.667 0.333 0.439
As: 0.827 0.173 0.750
As: 0.827 0.655 0.750

Main lines, in order of rising 2θ (10° ≤ 2θ ≤ 80°):
- 30.84 deg, I = 100
- 34.53 deg, I = 81
- 35.31 deg, I = 42
- 44.61 deg, I = 40
- 47.69 deg, I = 70
- 49.43 deg, I = 34
- 52.57 deg, I = 61
- 54.30 deg, I = 53


Entry 8:
Structure and computed XRD peak list of Ba3Ni4As4 (a DFT-relaxed cell (GGA-PBE, OQMD); Cu Kα).
Intensities are scaled so that the largest is 100.

Structure:
Cell: 4.199 4.548 12.622 Å, 90.00 90.00 90.00°
Fractional positions:
Ba: 0.000 0.000 0.000
Ba: 0.500 0.000 0.301
Ba: 0.500 0.000 0.699
Ni: 0.000 0.000 0.500
Ni: 0.000 0.500 0.194
Ni: 0.000 0.500 0.806
Ni: 0.500 0.500 0.500
As: 0.000 0.500 0.390
As: 0.000 0.500 0.610
As: 0.500 0.500 0.111
As: 0.500 0.500 0.889

Main lines, in order of rising 2θ (10° ≤ 2θ ≤ 80°):
- 28.91 deg, I = 48
- 29.81 deg, I = 29
- 32.30 deg, I = 100
- 34.60 deg, I = 29
- 39.63 deg, I = 41
- 41.75 deg, I = 50
- 43.08 deg, I = 34
- 58.92 deg, I = 35


Entry 9:
Structure and computed XRD peak list of Ba2AsOsO6 (a DFT-relaxed cell (GGA-PBE, OQMD); Cu Kα).
Intensities are scaled so that the largest is 100.

Structure:
Cell: 5.817 5.817 5.817 Å, 120.07 120.07 89.88°
Fractional positions:
Ba: 0.250 0.750 0.500
Ba: 0.750 0.250 0.500
As: 0.000 0.000 0.000
Os: 0.500 0.500 0.000
O: 0.245 0.270 0.515
O: 0.258 0.258 0.000
O: 0.270 0.755 0.025
O: 0.730 0.245 0.975
O: 0.742 0.742 0.000
O: 0.755 0.730 0.485

Main lines, in order of rising 2θ (10° ≤ 2θ ≤ 80°):
- 18.69 deg, I = 12
- 30.75 deg, I = 100
- 36.23 deg, I = 6
- 43.98 deg, I = 10
- 44.08 deg, I = 19
- 54.68 deg, I = 40
- 64.05 deg, I = 18
- 72.77 deg, I = 12


Entry 10:
Structure and computed XRD peak list of BaReAsO (a DFT-relaxed cell (GGA-PBE, OQMD); Cu Kα).
Intensities are scaled so that the largest is 100.

Structure:
Cell: 3.982 3.982 10.961 Å, 90.00 90.00 90.00°
Fractional positions:
Ba: 0.250 0.250 0.136
Ba: 0.750 0.750 0.864
Re: 0.250 0.750 0.500
Re: 0.750 0.250 0.500
As: 0.250 0.250 0.647
As: 0.750 0.750 0.353
O: 0.250 0.750 0.000
O: 0.750 0.250 0.000

Main lines, in order of rising 2θ (10° ≤ 2θ ≤ 80°):
- 16.17 deg, I = 55
- 24.36 deg, I = 33
- 27.69 deg, I = 100
- 32.84 deg, I = 64
- 35.86 deg, I = 69
- 45.56 deg, I = 51
- 46.23 deg, I = 89
- 54.16 deg, I = 30


Entry 11:
Structure and computed XRD peak list of Ba3TaAs3O (a DFT-relaxed cell (GGA-PBE, OQMD); Cu Kα).
Intensities are scaled so that the largest is 100.

Structure:
Cell: 6.796 11.207 13.608 Å, 90.00 90.00 90.00°
Fractional positions:
Ba: 0.222 0.250 0.127
Ba: 0.242 0.545 0.368
Ba: 0.242 0.955 0.368
Ba: 0.258 0.045 0.868
Ba: 0.258 0.455 0.868
Ba: 0.278 0.750 0.627
Ba: 0.722 0.250 0.373
Ba: 0.742 0.545 0.132
Ba: 0.742 0.955 0.132
Ba: 0.758 0.045 0.632
Ba: 0.758 0.455 0.632
Ba: 0.778 0.750 0.873
Ta: 0.162 0.250 0.545
Ta: 0.338 0.750 0.045
Ta: 0.662 0.250 0.955
Ta: 0.838 0.750 0.455
As: 0.224 0.250 0.365
As: 0.234 0.556 0.117
As: 0.234 0.944 0.117
As: 0.266 0.056 0.617
As: 0.266 0.444 0.617
As: 0.276 0.750 0.865
As: 0.724 0.250 0.135
As: 0.734 0.556 0.383
As: 0.734 0.944 0.383
As: 0.766 0.056 0.883
As: 0.766 0.444 0.883
As: 0.776 0.750 0.635
O: 0.114 0.750 0.446
O: 0.386 0.250 0.946
O: 0.614 0.750 0.054
O: 0.886 0.250 0.554

Main lines, in order of rising 2θ (10° ≤ 2θ ≤ 80°):
- 24.39 deg, I = 33
- 24.71 deg, I = 34
- 26.22 deg, I = 100
- 31.94 deg, I = 23
- 36.35 deg, I = 28
- 37.41 deg, I = 33
- 41.04 deg, I = 41
- 49.36 deg, I = 21


Entry 12:
Structure and computed XRD peak list of BaTm2As2O8 (a DFT-relaxed cell (GGA-PBE, OQMD); Cu Kα).
Intensities are scaled so that the largest is 100.

Structure:
Cell: 7.153 7.153 7.153 Å, 46.48 46.48 46.48°
Fractional positions:
Ba: 0.000 0.000 0.000
Tm: 0.196 0.196 0.196
Tm: 0.804 0.804 0.804
As: 0.432 0.432 0.432
As: 0.568 0.568 0.568
O: 0.140 0.800 0.393
O: 0.200 0.607 0.860
O: 0.342 0.342 0.342
O: 0.393 0.140 0.800
O: 0.607 0.860 0.200
O: 0.658 0.658 0.658
O: 0.800 0.393 0.140
O: 0.860 0.200 0.607

Main lines, in order of rising 2θ (10° ≤ 2θ ≤ 80°):
- 13.91 deg, I = 30
- 29.68 deg, I = 88
- 31.70 deg, I = 100
- 42.11 deg, I = 13
- 43.97 deg, I = 35
- 55.22 deg, I = 34
- 56.46 deg, I = 27
- 74.21 deg, I = 13